# 1
Diffraction record for Co2Ni2S5. The X-ray powder pattern is simulated, not measured: it uses a PBE-relaxed structure and Cu Kα, 1.54184 Å.
No peak broadening, texture or thermal motion is included.

Most intense lines, 2θ from 5° to 70°, by angle:
| 2theta | d_spacing | I (rel.) |
| --- | --- | --- |
| 28.52 | 3.130 | 49.7 |
| 28.84 | 3.096 | 58.1 |
| 29.26 | 3.052 | 48.7 |
| 30.97 | 2.887 | 74.8 |
| 45.10 | 2.010 | 43.3 |
| 50.31 | 1.814 | 100.0 |

Cell lengths 12.386, 12.386, 12.386 Å; angles 16.84, 16.84, 16.84 degrees
Element x y z (fractional)
Co: 0.000 0.000 0.000
Co: 0.164 0.164 0.164
Ni: 0.586 0.586 0.586
Ni: 0.742 0.742 0.742
S: 0.065 0.065 0.065
S: 0.526 0.526 0.526
S: 0.678 0.678 0.678
S: 0.803 0.803 0.803
S: 0.940 0.940 0.940



# 2
Diffraction record for Co3Ni3S8. The X-ray powder pattern is simulated, not measured: it uses a PBE-relaxed structure and Cu Kα, 1.54184 Å.
No peak broadening, texture or thermal motion is included.

Most intense lines, 2θ from 5° to 70°, by angle:
| 2theta | d_spacing | I (rel.) |
| --- | --- | --- |
| 26.92 | 3.312 | 40.7 |
| 31.66 | 2.826 | 100.0 |
| 38.44 | 2.342 | 59.7 |
| 50.61 | 1.803 | 40.0 |
| 55.39 | 1.659 | 52.9 |
| 55.60 | 1.653 | 53.1 |

Cell lengths 6.635, 6.635, 6.635 Å; angles 59.77, 59.77, 59.77 degrees
Element x y z (fractional)
Co: 0.000 0.500 0.500
Co: 0.500 0.000 0.500
Co: 0.500 0.500 0.000
Ni: 0.125 0.125 0.125
Ni: 0.500 0.500 0.500
Ni: 0.875 0.875 0.875
S: 0.257 0.257 0.723
S: 0.257 0.723 0.257
S: 0.260 0.260 0.260
S: 0.277 0.743 0.743
S: 0.723 0.257 0.257
S: 0.740 0.740 0.740
S: 0.743 0.277 0.743
S: 0.743 0.743 0.277



# 3
Diffraction record for CoNiSb2S2. The X-ray powder pattern is simulated, not measured: it uses a PBE-relaxed structure and Cu Kα, 1.54184 Å.
No peak broadening, texture or thermal motion is included.

Most intense lines, 2θ from 5° to 70°, by angle:
| 2theta | d_spacing | I (rel.) |
| --- | --- | --- |
| 21.29 | 4.173 | 27.1 |
| 33.96 | 2.640 | 100.0 |
| 37.33 | 2.409 | 66.1 |
| 51.32 | 1.780 | 36.9 |
| 51.42 | 1.777 | 18.5 |
| 58.48 | 1.578 | 24.0 |

Cell lengths 5.899, 5.905, 5.900 Å; angles 90.00, 90.21, 90.00 degrees
Element x y z (fractional)
Co: 0.017 0.000 0.270
Co: 0.983 0.500 0.730
Ni: 0.478 0.962 0.770
Ni: 0.522 0.462 0.230
Sb: 0.125 0.612 0.119
Sb: 0.368 0.354 0.622
Sb: 0.632 0.854 0.378
Sb: 0.875 0.112 0.881
S: 0.115 0.857 0.625
S: 0.372 0.100 0.132
S: 0.628 0.600 0.868
S: 0.885 0.357 0.375



# 4
Diffraction record for Co3NiSb12. The X-ray powder pattern is simulated, not measured: it uses a PBE-relaxed structure and Cu Kα, 1.54184 Å.
No peak broadening, texture or thermal motion is included.

Most intense lines, 2θ from 5° to 70°, by angle:
| 2theta | d_spacing | I (rel.) |
| --- | --- | --- |
| 30.91 | 2.893 | 100.0 |
| 36.75 | 2.445 | 38.7 |
| 44.27 | 2.046 | 24.3 |
| 50.89 | 1.794 | 20.9 |
| 58.85 | 1.569 | 19.5 |
| 69.71 | 1.349 | 17.9 |

Cell lengths 7.927, 7.927, 7.927 Å; angles 109.50, 109.50, 109.50 degrees
Element x y z (fractional)
Co: 0.000 0.500 0.500
Co: 0.500 0.000 0.500
Co: 0.500 0.500 0.000
Ni: 0.000 0.000 0.000
Sb: 0.005 0.343 0.167
Sb: 0.167 0.005 0.343
Sb: 0.168 0.327 0.660
Sb: 0.327 0.660 0.168
Sb: 0.340 0.832 0.673
Sb: 0.343 0.167 0.005
Sb: 0.657 0.833 0.995
Sb: 0.660 0.168 0.327
Sb: 0.673 0.340 0.832
Sb: 0.832 0.673 0.340
Sb: 0.833 0.995 0.657
Sb: 0.995 0.657 0.833



# 5
Diffraction record for CoNi15Sb4. The X-ray powder pattern is simulated, not measured: it uses a PBE-relaxed structure and Cu Kα, 1.54184 Å.
No peak broadening, texture or thermal motion is included.

Most intense lines, 2θ from 5° to 70°, by angle:
| 2theta | d_spacing | I (rel.) |
| --- | --- | --- |
| 24.05 | 3.700 | 4.9 |
| 34.50 | 2.599 | 3.5 |
| 39.71 | 2.270 | 2.6 |
| 42.50 | 2.127 | 100.0 |
| 49.26 | 1.850 | 33.3 |
| 49.93 | 1.827 | 13.6 |

Cell lengths 3.700, 3.700, 18.265 Å; angles 90.00, 90.00, 90.00 degrees
Element x y z (fractional)
Co: 0.000 0.000 0.000
Ni: 0.000 0.500 0.090
Ni: 0.000 0.500 0.296
Ni: 0.000 0.500 0.500
Ni: 0.000 0.500 0.704
Ni: 0.000 0.500 0.910
Ni: 0.500 0.000 0.090
Ni: 0.500 0.000 0.296
Ni: 0.500 0.000 0.500
Ni: 0.500 0.000 0.704
Ni: 0.500 0.000 0.910
Ni: 0.500 0.500 0.000
Ni: 0.500 0.500 0.195
Ni: 0.500 0.500 0.398
Ni: 0.500 0.500 0.602
Ni: 0.500 0.500 0.805
Sb: 0.000 0.000 0.191
Sb: 0.000 0.000 0.397
Sb: 0.000 0.000 0.603
Sb: 0.000 0.000 0.809



# 6
Diffraction record for CoNiSbTe2. The X-ray powder pattern is simulated, not measured: it uses a PBE-relaxed structure and Cu Kα, 1.54184 Å.
No peak broadening, texture or thermal motion is included.

Most intense lines, 2θ from 5° to 70°, by angle:
| 2theta | d_spacing | I (rel.) |
| --- | --- | --- |
| 31.41 | 2.848 | 100.0 |
| 35.45 | 2.532 | 64.4 |
| 38.32 | 2.349 | 25.9 |
| 51.00 | 1.791 | 22.3 |
| 53.18 | 1.722 | 39.2 |
| 61.13 | 1.516 | 29.1 |

Cell lengths 5.065, 5.065, 4.698 Å; angles 90.00, 90.00, 90.00 degrees
Element x y z (fractional)
Co: 0.000 0.000 0.000
Ni: 0.500 0.500 0.500
Sb: 0.000 0.000 0.500
Te: 0.000 0.500 0.000
Te: 0.500 0.000 0.000